[1]
# TbZrTe4
Simulated PXRD pattern, Cu Kα. Input: a PBE-relaxed structure.

Structural model:
```
data_TbZrTe4
_chemical_formula_sum 'Tb1 Zr1 Te4'
_cell_length_a 6.803
_cell_length_b 4.098
_cell_length_c 7.250
_cell_angle_alpha 90.00
_cell_angle_beta 90.67
_cell_angle_gamma 90.00
_space_group_name_H-M_alt 'P 1 2/m 1'
_space_group_IT_number 10
_space_group_name_Hall '-P 2y'
loop_
_atom_site_label
_atom_site_fract_x
_atom_site_fract_y
_atom_site_fract_z
Tb1 0.000 0.000 0.000
Zr1 0.000 0.500 0.500
Te1 0.261 0.000 0.349
Te2 0.268 0.500 0.817
```

Top 12 peaks for 2θ = 10–80°, in order of rising 2θ:
6.802 Å, I = 26.6, hkl 1 0 0; 3.184 Å, I = 49.7, hkl 1 0 2; 3.167 Å, I = 100.0, hkl 1 1 -1; 2.495 Å, I = 17.1, hkl 2 0 -2; 2.468 Å, I = 26.6, hkl 2 0 2; 2.455 Å, I = 33.2, hkl 2 1 1; 2.082 Å, I = 32.8, hkl 0 1 3; 2.049 Å, I = 16.6, hkl 0 2 0; 1.909 Å, I = 18.3, hkl 3 1 1; 1.756 Å, I = 10.2, hkl 1 0 -4; 1.723 Å, I = 16.5, hkl 1 2 2; 1.273 Å, I = 10.3, hkl 5 1 -1

[2]
# TbTh2
Simulated PXRD pattern, Cu Kα. Input: a PBE-relaxed structure.

Structural model:
```
data_TbTh2
_chemical_formula_sum 'Tb2 Th4'
_cell_length_a 3.578
_cell_length_b 3.578
_cell_length_c 15.110
_cell_angle_alpha 90.00
_cell_angle_beta 90.00
_cell_angle_gamma 90.00
_space_group_name_H-M_alt 'I 4/m m m'
_space_group_IT_number 139
_space_group_name_Hall '-I 4 2'
loop_
_atom_site_label
_atom_site_fract_x
_atom_site_fract_y
_atom_site_fract_z
Tb1 0.000 0.000 0.000
Th1 0.000 0.000 0.331
```

Top 12 peaks for 2θ = 10–80°, in order of rising 2θ:
7.555 Å, I = 3.3, hkl 0 0 2; 3.482 Å, I = 1.5, hkl 1 0 1; 2.917 Å, I = 100.0, hkl 1 0 3; 2.530 Å, I = 34.2, hkl 1 1 0; 2.518 Å, I = 16.8, hkl 0 0 6; 1.789 Å, I = 12.4, hkl 2 0 0; 1.785 Å, I = 24.5, hkl 1 1 6; 1.525 Å, I = 29.6, hkl 2 1 3; 1.520 Å, I = 14.5, hkl 1 0 9; 1.458 Å, I = 12.7, hkl 2 0 6; 1.265 Å, I = 4.0, hkl 2 2 0; 1.259 Å, I = 1.9, hkl 0 0 12

[3]
# Tb5Th
Simulated PXRD pattern, Cu Kα. Input: a PBE-relaxed structure.

Structural model:
```
data_Tb5Th
_chemical_formula_sum 'Tb10 Th2'
_cell_length_a 5.041
_cell_length_b 15.105
_cell_length_c 5.051
_cell_angle_alpha 90.00
_cell_angle_beta 90.00
_cell_angle_gamma 90.00
_space_group_name_H-M_alt 'C m m m'
_space_group_IT_number 65
_space_group_name_Hall '-C 2 2'
loop_
_atom_site_label
_atom_site_fract_x
_atom_site_fract_y
_atom_site_fract_z
Tb1 0.000 0.000 0.000
Tb2 0.000 0.166 0.500
Tb3 0.000 0.336 0.000
Th1 0.000 0.500 0.500
```

Top 12 peaks for 2θ = 10–80°, in order of rising 2θ:
7.552 Å, I = 1.4, hkl 0 2 0; 4.782 Å, I = 0.7, hkl 1 1 0; 2.911 Å, I = 100.0, hkl 1 3 1; 2.523 Å, I = 33.9, hkl 2 0 0; 2.517 Å, I = 16.8, hkl 0 6 0; 1.783 Å, I = 36.3, hkl 2 0 2; 1.521 Å, I = 28.9, hkl 3 3 1; 1.519 Å, I = 14.2, hkl 1 9 1; 1.456 Å, I = 12.4, hkl 2 6 2; 1.263 Å, I = 2.0, hkl 0 0 4; 1.260 Å, I = 1.9, hkl 4 0 0; 1.259 Å, I = 1.9, hkl 0 12 0

[4]
# Tb3Th4
Simulated PXRD pattern, Cu Kα. Input: a PBE-relaxed structure.

Structural model:
```
data_Tb3Th4
_chemical_formula_sum 'Tb6 Th8'
_cell_length_a 4.244
_cell_length_b 4.244
_cell_length_c 25.121
_cell_angle_alpha 90.00
_cell_angle_beta 90.00
_cell_angle_gamma 90.00
_space_group_name_H-M_alt 'I 4/m m m'
_space_group_IT_number 139
_space_group_name_Hall '-I 4 2'
loop_
_atom_site_label
_atom_site_fract_x
_atom_site_fract_y
_atom_site_fract_z
Tb1 0.000 0.000 0.000
Tb2 0.000 0.000 0.286
Th1 0.000 0.000 0.140
Th2 0.000 0.000 0.428
```

Top 12 peaks for 2θ = 10–80°, in order of rising 2θ:
6.280 Å, I = 2.6, hkl 0 0 4; 3.785 Å, I = 2.0, hkl 1 0 3; 3.001 Å, I = 63.9, hkl 1 1 0; 2.740 Å, I = 100.0, hkl 1 0 7; 2.122 Å, I = 24.5, hkl 2 0 0; 1.794 Å, I = 7.3, hkl 0 0 14; 1.678 Å, I = 47.6, hkl 2 1 7; 1.540 Å, I = 17.8, hkl 1 1 14; 1.500 Å, I = 8.3, hkl 2 2 0; 1.370 Å, I = 12.1, hkl 2 0 14; 1.342 Å, I = 11.5, hkl 3 1 0; 1.316 Å, I = 10.7, hkl 3 0 7

[5]
# Tb5Th
Simulated PXRD pattern, Cu Kα. Input: a PBE-relaxed structure.

Structural model:
```
data_Tb5Th
_chemical_formula_sum 'Tb5 Th1'
_cell_length_a 3.5731
_cell_length_b 3.5731
_cell_length_c 17.3928
_cell_angle_alpha 90.00
_cell_angle_beta 90.00
_cell_angle_gamma 120.00
_space_group_name_H-M_alt 'P -3 m 1'
_space_group_IT_number 164
_space_group_name_Hall '-P 3 2"'
loop_
_atom_site_label
_atom_site_fract_x
_atom_site_fract_y
_atom_site_fract_z
Tb1 0.0000 0.0000 0.0000
Tb2 0.3333 0.6667 0.1661
Tb3 0.3333 0.6667 0.6634
Th1 0.0000 0.0000 0.5000
```

Top 12 peaks for 2θ = 10–80°, in order of rising 2θ:
8.696 Å, I = 2.3, hkl 0 0 2; 2.915 Å, I = 100.0, hkl 0 1 2; 2.899 Å, I = 32.6, hkl 0 0 6; 2.521 Å, I = 67.7, hkl 1 0 4; 1.787 Å, I = 24.2, hkl 1 1 0; 1.779 Å, I = 24.0, hkl 0 1 8; 1.523 Å, I = 14.5, hkl 2 0 2; 1.521 Å, I = 28.6, hkl 1 1 6; 1.516 Å, I = 14.3, hkl 1 0 10; 1.458 Å, I = 12.5, hkl 0 2 4; 1.449 Å, I = 4.2, hkl 0 0 12; 1.261 Å, I = 7.7, hkl 2 0 8

[6]
# Tb7Th5
Simulated PXRD pattern, Cu Kα. Input: a PBE-relaxed structure.

Structural model:
```
data_Tb7Th5
_chemical_formula_sum 'Tb14 Th10'
_cell_length_a 18.651
_cell_length_b 3.606
_cell_length_c 13.091
_cell_angle_alpha 90.00
_cell_angle_beta 118.30
_cell_angle_gamma 90.00
_space_group_name_H-M_alt 'C 1 2/m 1'
_space_group_IT_number 12
_space_group_name_Hall '-C 2y'
loop_
_atom_site_label
_atom_site_fract_x
_atom_site_fract_y
_atom_site_fract_z
Tb1 0.000 0.000 0.000
Tb2 0.028 0.500 0.250
Tb3 0.139 0.000 0.749
Tb4 0.165 0.000 0.498
Th1 0.000 0.500 0.500
Th2 0.169 0.500 0.001
Th3 0.195 0.000 0.246
```

Top 12 peaks for 2θ = 10–80°, in order of rising 2θ:
3.009 Å, I = 39.8, hkl 6 0 -1; 2.881 Å, I = 39.7, hkl 0 0 4; 2.742 Å, I = 100.0, hkl 3 1 -3; 2.735 Å, I = 18.6, hkl 6 0 -4; 2.422 Å, I = 10.1, hkl 3 1 2; 2.419 Å, I = 15.9, hkl 6 0 -5; 1.803 Å, I = 10.2, hkl 0 2 0; 1.797 Å, I = 20.1, hkl 9 1 -3; 1.635 Å, I = 17.5, hkl 3 1 -7; 1.528 Å, I = 12.1, hkl 0 2 4; 1.525 Å, I = 23.6, hkl 9 1 1; 1.506 Å, I = 12.7, hkl 6 2 0

[7]
# Tb3Th8
Simulated PXRD pattern, Cu Kα. Input: a PBE-relaxed structure.

Structural model:
```
data_Tb3Th8
_chemical_formula_sum 'Tb9 Th24'
_cell_length_a 3.5713
_cell_length_b 3.5713
_cell_length_c 95.7027
_cell_angle_alpha 90.00
_cell_angle_beta 90.00
_cell_angle_gamma 120.00
_space_group_name_H-M_alt 'R -3 m'
_space_group_IT_number 166
_space_group_name_Hall '-R 3 2"'
loop_
_atom_site_label
_atom_site_fract_x
_atom_site_fract_y
_atom_site_fract_z
Tb1 0.0000 0.0000 0.0000
Tb2 0.0000 0.0000 0.2732
Th1 0.0000 0.0000 0.0911
Th2 0.0000 0.0000 0.1819
Th3 0.0000 0.0000 0.3635
Th4 0.0000 0.0000 0.4544
```

Top 12 peaks for 2θ = 10–80°, in order of rising 2θ:
6.380 Å, I = 1.4, hkl 0 0 15; 3.067 Å, I = 0.7, hkl 1 0 4; 2.914 Å, I = 100.0, hkl 0 1 11; 2.900 Å, I = 32.9, hkl 0 0 33; 2.521 Å, I = 67.7, hkl 1 0 22; 1.786 Å, I = 24.8, hkl 1 1 0; 1.779 Å, I = 24.4, hkl 0 1 44; 1.521 Å, I = 44.2, hkl 2 0 11; 1.517 Å, I = 14.6, hkl 1 0 55; 1.457 Å, I = 12.8, hkl 0 2 22; 1.450 Å, I = 4.2, hkl 0 0 66; 1.260 Å, I = 8.0, hkl 2 0 44

[8]
# Tb3Th2
Simulated PXRD pattern, Cu Kα. Input: a PBE-relaxed structure.

Structural model:
```
data_Tb3Th2
_chemical_formula_sum 'Tb24 Th16'
_cell_length_a 6.318
_cell_length_b 11.677
_cell_length_c 17.328
_cell_angle_alpha 90.00
_cell_angle_beta 90.00
_cell_angle_gamma 90.00
_space_group_name_H-M_alt 'F d d d'
_space_group_IT_number 70
loop_
_space_group_symop_operation_xyz
'x,y,z'
'-x,-y,-z'
'-x+1/4,-y+1/4,z'
'x+1/4,y+1/4,-z'
'x,-y+1/4,-z+1/4'
'-x,y+1/4,z+1/4'
'-x+1/4,y,-z+1/4'
'x+1/4,-y,z+1/4'
'x,y+1/2,z+1/2'
'-x,-y+1/2,-z+1/2'
'-x+1/4,-y+3/4,z+1/2'
'x+1/4,y+3/4,-z+1/2'
'x,-y+3/4,-z+3/4'
'-x,y+3/4,z+3/4'
'-x+1/4,y+1/2,-z+3/4'
'x+1/4,-y+1/2,z+3/4'
'x+1/2,y,z+1/2'
'-x+1/2,-y,-z+1/2'
'-x+3/4,-y+1/4,z+1/2'
'x+3/4,y+1/4,-z+1/2'
'x+1/2,-y+1/4,-z+3/4'
'-x+1/2,y+1/4,z+3/4'
'-x+3/4,y,-z+3/4'
'x+3/4,-y,z+3/4'
'x+1/2,y+1/2,z'
'-x+1/2,-y+1/2,-z'
'-x+3/4,-y+3/4,z'
'x+3/4,y+3/4,-z'
'x+1/2,-y+3/4,-z+1/4'
'-x+1/2,y+3/4,z+1/4'
'-x+3/4,y+1/2,-z+1/4'
'x+3/4,-y+1/2,z+1/4'
loop_
_atom_site_label
_atom_site_fract_x
_atom_site_fract_y
_atom_site_fract_z
Tb1 0.125 0.125 0.025
Tb2 0.125 0.125 0.625
Th1 0.125 0.125 0.422
```

Top 12 peaks for 2θ = 10–80°, in order of rising 2θ:
2.941 Å, I = 100.0, hkl 1 1 5; 2.919 Å, I = 49.2, hkl 0 4 0; 2.778 Å, I = 86.3, hkl 2 2 0; 2.395 Å, I = 57.2, hkl 1 3 5; 1.852 Å, I = 26.8, hkl 1 5 5; 1.779 Å, I = 23.6, hkl 3 1 5; 1.661 Å, I = 18.8, hkl 0 2 10; 1.657 Å, I = 18.9, hkl 2 6 0; 1.634 Å, I = 18.0, hkl 3 3 5; 1.519 Å, I = 14.0, hkl 2 0 10; 1.462 Å, I = 12.5, hkl 1 7 5; 1.348 Å, I = 18.8, hkl 2 4 10

[9]
# Tb7Th3
Simulated PXRD pattern, Cu Kα. Input: a PBE-relaxed structure.

Structural model:
```
data_Tb7Th3
_chemical_formula_sum 'Tb14 Th6'
_cell_length_a 18.162
_cell_length_b 5.063
_cell_length_c 7.107
_cell_angle_alpha 90.00
_cell_angle_beta 101.49
_cell_angle_gamma 90.00
_space_group_name_H-M_alt 'C 1 2/m 1'
_space_group_IT_number 12
_space_group_name_Hall '-C 2y'
loop_
_atom_site_label
_atom_site_fract_x
_atom_site_fract_y
_atom_site_fract_z
Tb1 0.000 0.000 0.000
Tb2 0.100 0.500 0.302
Tb3 0.101 0.500 0.802
Tb4 0.200 0.000 0.606
Th1 0.000 0.000 0.500
Th2 0.200 0.000 0.096
```

Top 12 peaks for 2θ = 10–80°, in order of rising 2θ:
2.910 Å, I = 100.0, hkl 5 1 0; 2.532 Å, I = 17.2, hkl 0 2 0; 2.519 Å, I = 16.9, hkl 6 0 -2; 2.510 Å, I = 16.7, hkl 4 0 2; 1.786 Å, I = 12.2, hkl 6 2 -2; 1.782 Å, I = 18.2, hkl 10 0 0; 1.777 Å, I = 6.0, hkl 2 0 -4; 1.525 Å, I = 14.7, hkl 5 3 0; 1.519 Å, I = 14.4, hkl 11 1 -2; 1.516 Å, I = 7.2, hkl 9 1 2; 1.515 Å, I = 7.2, hkl 3 1 4; 1.455 Å, I = 12.5, hkl 10 2 0

[10]
# Tb4Th3
Simulated PXRD pattern, Cu Kα. Input: a PBE-relaxed structure.

Structural model:
```
data_Tb4Th3
_chemical_formula_sum 'Tb8 Th6'
_cell_length_a 17.191
_cell_length_b 3.470
_cell_length_c 8.693
_cell_angle_alpha 90.00
_cell_angle_beta 117.96
_cell_angle_gamma 90.00
_space_group_name_H-M_alt 'C 1 2/m 1'
_space_group_IT_number 12
_space_group_name_Hall '-C 2y'
loop_
_atom_site_label
_atom_site_fract_x
_atom_site_fract_y
_atom_site_fract_z
Tb1 0.081 0.000 0.205
Tb2 0.136 0.500 0.900
Th1 0.000 0.000 0.500
Th2 0.218 0.000 0.638
```

Top 12 peaks for 2θ = 10–80°, in order of rising 2θ:
3.383 Å, I = 26.3, hkl 1 1 0; 3.222 Å, I = 27.7, hkl 1 1 -1; 2.950 Å, I = 91.0, hkl 3 1 -1; 2.905 Å, I = 100.0, hkl 4 0 1; 2.866 Å, I = 100.0, hkl 2 0 -3; 2.801 Å, I = 87.8, hkl 6 0 -2; 2.681 Å, I = 42.4, hkl 1 1 -2; 2.438 Å, I = 29.0, hkl 5 1 -1; 2.416 Å, I = 51.0, hkl 1 1 2; 1.489 Å, I = 27.7, hkl 4 2 1; 1.484 Å, I = 26.4, hkl 2 2 -3; 1.475 Å, I = 25.7, hkl 6 2 -2

[11]
# Tb3Th2
Simulated PXRD pattern, Cu Kα. Input: a PBE-relaxed structure.

Structural model:
```
data_Tb3Th2
_chemical_formula_sum 'Tb9 Th6'
_cell_length_a 3.5769
_cell_length_b 3.5769
_cell_length_c 43.5300
_cell_angle_alpha 90.00
_cell_angle_beta 90.00
_cell_angle_gamma 120.00
_space_group_name_H-M_alt 'R -3 m'
_space_group_IT_number 166
_space_group_name_Hall '-R 3 2"'
loop_
_atom_site_label
_atom_site_fract_x
_atom_site_fract_y
_atom_site_fract_z
Tb1 0.0000 0.0000 0.0000
Tb2 0.0000 0.0000 0.4007
Th1 0.0000 0.0000 0.1992
```

Top 12 peaks for 2θ = 10–80°, in order of rising 2θ:
2.918 Å, I = 100.0, hkl 0 1 5; 2.902 Å, I = 32.7, hkl 0 0 15; 2.692 Å, I = 1.5, hkl 0 1 8; 2.524 Å, I = 67.4, hkl 1 0 10; 1.788 Å, I = 24.5, hkl 1 1 0; 1.781 Å, I = 24.0, hkl 0 1 20; 1.525 Å, I = 14.6, hkl 2 0 5; 1.523 Å, I = 29.0, hkl 1 1 15; 1.518 Å, I = 14.3, hkl 1 0 25; 1.459 Å, I = 12.6, hkl 0 2 10; 1.451 Å, I = 4.1, hkl 0 0 30; 1.262 Å, I = 7.8, hkl 2 0 20

[12]
# Tb3Th5
Simulated PXRD pattern, Cu Kα. Input: a PBE-relaxed structure.

Structural model:
```
data_Tb3Th5
_chemical_formula_sum 'Tb3 Th5'
_cell_length_a 5.041
_cell_length_b 5.082
_cell_length_c 10.039
_cell_angle_alpha 90.00
_cell_angle_beta 90.00
_cell_angle_gamma 90.00
_space_group_name_H-M_alt 'P m m m'
_space_group_IT_number 47
_space_group_name_Hall '-P 2 2'
loop_
_atom_site_label
_atom_site_fract_x
_atom_site_fract_y
_atom_site_fract_z
Tb1 0.000 0.000 0.000
Tb2 0.500 0.000 0.254
Th1 0.000 0.000 0.500
Th2 0.000 0.500 0.251
Th3 0.500 0.500 0.000
Th4 0.500 0.500 0.500
```

Top 12 peaks for 2θ = 10–80°, in order of rising 2θ:
2.914 Å, I = 100.0, hkl 1 1 2; 2.541 Å, I = 17.3, hkl 0 2 0; 2.521 Å, I = 16.9, hkl 2 0 0; 2.510 Å, I = 16.7, hkl 0 0 4; 1.790 Å, I = 12.4, hkl 2 2 0; 1.786 Å, I = 12.3, hkl 0 2 4; 1.779 Å, I = 12.1, hkl 2 0 4; 1.529 Å, I = 15.0, hkl 1 3 2; 1.520 Å, I = 14.7, hkl 3 1 2; 1.516 Å, I = 14.5, hkl 1 1 6; 1.457 Å, I = 12.7, hkl 2 2 4; 1.271 Å, I = 2.0, hkl 0 4 0

[13]
# TbTh2
Simulated PXRD pattern, Cu Kα. Input: a PBE-relaxed structure.

Structural model:
```
data_TbTh2
_chemical_formula_sum 'Tb2 Th4'
_cell_length_a 3.598
_cell_length_b 5.008
_cell_length_c 10.718
_cell_angle_alpha 90.00
_cell_angle_beta 90.00
_cell_angle_gamma 90.00
_space_group_name_H-M_alt 'I m m m'
_space_group_IT_number 71
_space_group_name_Hall '-I 2 2'
loop_
_atom_site_label
_atom_site_fract_x
_atom_site_fract_y
_atom_site_fract_z
Tb1 0.000 0.000 0.000
Th1 0.000 0.000 0.331
```

Top 12 peaks for 2θ = 10–80°, in order of rising 2θ:
2.922 Å, I = 100.0, hkl 1 1 0; 2.908 Å, I = 98.6, hkl 0 1 3; 2.535 Å, I = 68.2, hkl 1 0 3; 2.504 Å, I = 33.0, hkl 0 2 0; 1.799 Å, I = 12.5, hkl 2 0 0; 1.786 Å, I = 12.2, hkl 0 0 6; 1.781 Å, I = 48.5, hkl 1 2 3; 1.530 Å, I = 29.8, hkl 2 1 3; 1.524 Å, I = 29.3, hkl 1 1 6; 1.513 Å, I = 28.7, hkl 1 3 0; 1.461 Å, I = 12.8, hkl 2 2 0; 1.454 Å, I = 12.5, hkl 0 2 6

[14]
# Tb3ThTl4
Simulated PXRD pattern, Cu Kα. Input: a PBE-relaxed structure.

Structural model:
```
data_Tb3ThTl4
_chemical_formula_sum 'Tb6 Th2 Tl8'
_cell_length_a 10.941
_cell_length_b 7.374
_cell_length_c 5.569
_cell_angle_alpha 90.00
_cell_angle_beta 90.00
_cell_angle_gamma 90.00
_space_group_name_H-M_alt 'P m m a'
_space_group_IT_number 51
_space_group_name_Hall '-P 2a 2a'
loop_
_atom_site_label
_atom_site_fract_x
_atom_site_fract_y
_atom_site_fract_z
Tb1 0.000 0.000 0.000
Tb2 0.250 0.000 0.433
Tb3 0.250 0.500 0.435
Th1 0.000 0.500 0.000
Tl1 0.000 0.241 0.500
Tl2 0.250 0.242 0.927
```

Top 12 peaks for 2θ = 10–80°, in order of rising 2θ:
2.785 Å, I = 20.9, hkl 0 0 2; 2.735 Å, I = 29.2, hkl 4 0 0; 2.699 Å, I = 7.6, hkl 1 0 2; 2.680 Å, I = 100.0, hkl 2 2 1; 1.951 Å, I = 15.2, hkl 4 0 2; 1.843 Å, I = 9.4, hkl 0 4 0; 1.587 Å, I = 9.5, hkl 2 2 3; 1.568 Å, I = 20.2, hkl 6 2 1; 1.537 Å, I = 7.0, hkl 0 4 2; 1.529 Å, I = 10.3, hkl 4 4 0; 1.340 Å, I = 8.9, hkl 4 4 2; 1.227 Å, I = 7.6, hkl 8 0 2

[15]
# Tb2ThTl
Simulated PXRD pattern, Cu Kα. Input: a PBE-relaxed structure.

Structural model:
```
data_Tb2ThTl
_chemical_formula_sum 'Tb6 Th3 Tl3'
_cell_length_a 3.5921
_cell_length_b 3.5921
_cell_length_c 32.5329
_cell_angle_alpha 90.00
_cell_angle_beta 90.00
_cell_angle_gamma 120.00
_space_group_name_H-M_alt 'R -3 m'
_space_group_IT_number 166
_space_group_name_Hall '-R 3 2"'
loop_
_atom_site_label
_atom_site_fract_x
_atom_site_fract_y
_atom_site_fract_z
Tb1 0.0000 0.0000 0.2474
Th1 0.0000 0.0000 0.0000
Tl1 0.0000 0.0000 0.5000
```

Top 12 peaks for 2θ = 10–80°, in order of rising 2θ:
5.422 Å, I = 3.0, hkl 0 0 6; 2.906 Å, I = 100.0, hkl 1 0 4; 2.711 Å, I = 27.3, hkl 0 0 12; 2.471 Å, I = 64.1, hkl 0 1 8; 1.796 Å, I = 25.2, hkl 1 1 0; 1.702 Å, I = 20.6, hkl 1 0 16; 1.528 Å, I = 14.9, hkl 0 2 4; 1.497 Å, I = 27.5, hkl 1 1 12; 1.453 Å, I = 12.5, hkl 2 0 8; 1.441 Å, I = 11.8, hkl 0 1 20; 1.356 Å, I = 3.1, hkl 0 0 24; 1.235 Å, I = 7.2, hkl 0 2 16